For Y4Cu13Si2Sb2O28, a DFT-relaxed cell (PBE, the Materials Project) gives the theoretical powder X-ray diffraction pattern in this record (CuKα).

Peak list (8 most intense, 10 to 90 degrees two-theta, most intense first)
29.8°, I = 100, hkl 0 3 0
32.5°, I = 74, hkl 1 -1 4
30.3°, I = 65, hkl 1 0 4
35.3°, I = 38, hkl 1 2 4
36.5°, I = 36, hkl 2 2 1
35.5°, I = 36, hkl 2 -1 1
56.9°, I = 36, hkl 3 1 5
44.4°, I = 26, hkl 1 -3 4

Atomic structure:
a b c (Å): 5.4906 9.0558 12.5853
angles (deg): 88.56 77.41 83.29
Atoms (fractional coordinates):
Y 0.0000 0.0000 0.0000
Y 0.0167 0.6939 0.8143
Y 0.4238 0.6932 0.9995
Y 0.5928 0.0000 0.8148
Cu 0.0813 0.3451 0.2628
Cu 0.1657 0.6720 0.5264
Cu 0.1702 0.9852 0.6625
Cu 0.1930 0.3491 0.0260
Cu 0.2853 0.6711 0.2878
Cu 0.4269 0.9846 0.1513
Cu 0.5092 0.3468 0.4074
Cu 0.5870 0.7107 0.6625
Cu 0.7294 0.0212 0.5262
Cu 0.8162 0.3477 0.7873
Cu 0.8409 0.7094 0.1514
Cu 0.8473 0.0212 0.2886
Cu 0.9376 0.3464 0.5494
Si 0.2702 0.0568 0.4069
Si 0.7449 0.6375 0.4068
Sb 0.3720 0.3471 0.6784
Sb 0.6417 0.3466 0.1355
O 0.0354 0.7365 0.9858
O 0.0908 0.9922 0.5156
O 0.0948 0.4503 0.7950
O 0.1141 0.2026 0.6816
O 0.1995 0.9894 0.2989
O 0.2071 0.7646 0.6558
O 0.2228 0.2397 0.4059
O 0.2264 0.4509 0.5553
O 0.3731 0.4516 0.2573
O 0.3851 0.2010 0.1350
O 0.4030 0.9583 0.9868
O 0.4477 0.6886 0.4074
O 0.4568 0.7649 0.1591
O 0.4824 0.4498 0.0188
O 0.5319 0.2431 0.7946
O 0.5560 0.9317 0.6564
O 0.5663 0.0035 0.4075
O 0.6139 0.7361 0.8287
O 0.6222 0.4933 0.6840
O 0.6413 0.2436 0.5550
O 0.7898 0.2429 0.2577
O 0.7969 0.4543 0.4064
O 0.8042 0.9302 0.1588
O 0.8146 0.7034 0.5155
O 0.8990 0.4933 0.1307
O 0.9169 0.2437 0.0188
O 0.9223 0.7042 0.2986
O 0.9817 0.9588 0.8287